[1]
Structure and simulated powder X-ray diffraction pattern of NaSrNi2Sn4 (the PBE geometry in OQMD; copper Kα).
Neutral-atom scattering factors, no anomalous dispersion.

Most intense lines, 2θ = 10–90°, most intense first:
2θ/deg	Rel. int.
32.93	100
31.31	89
39.86	79
39.69	69
43.03	60
15.39	52
42.27	51
59.37	44
33.63	39
33.39	36

Structural model:
Lattice parameters (Å, degrees): 7.406 6.142 6.142 40.75 90.00 90.00
Element x y z (fractional)
Na1 0.000 0.000 0.000
Sr1 0.500 0.112 0.112
Ni1 0.000 0.269 0.269
Ni2 0.500 0.841 0.841
Sn1 0.199 0.713 0.713
Sn2 0.294 0.405 0.405
Sn3 0.706 0.405 0.405
Sn4 0.801 0.713 0.713

[2]
Structure and simulated powder X-ray diffraction pattern of NaZnNi2 (the PBE geometry in OQMD; copper Kα).
Neutral-atom scattering factors, no anomalous dispersion.

Most intense lines, 2θ = 10–90°, most intense first:
2θ/deg	Rel. int.
42.46	100
77.69	29
61.61	15
25.63	9
29.67	6
50.26	4
69.86	2
67.85	2
52.66	2
83.41	1

Structural model:
Lattice parameters (Å, degrees): 4.258 4.258 4.258 60.00 60.00 60.00
Element x y z (fractional)
Na1 0.000 0.000 0.000
Zn1 0.750 0.750 0.750
Ni1 0.250 0.250 0.250
Ni2 0.500 0.500 0.500

[3]
Structure and simulated powder X-ray diffraction pattern of NaOsO3 (the PBE geometry in OQMD; copper Kα).
Neutral-atom scattering factors, no anomalous dispersion.

Most intense lines, 2θ = 10–90°, most intense first:
2θ/deg	Rel. int.
17.75	100
38.12	75
33.45	70
49.92	59
20.03	54
22.54	50
30.67	41
66.06	23
59.79	22
62.90	20

Structural model:
Lattice parameters (Å, degrees): 5.876 5.876 5.876 54.24 54.24 54.24
Element x y z (fractional)
Na1 0.136 0.136 0.136
Na2 0.864 0.864 0.864
Os1 0.337 0.337 0.337
Os2 0.663 0.663 0.663
O1 0.063 0.458 0.688
O2 0.312 0.937 0.542
O3 0.458 0.688 0.063
O4 0.542 0.312 0.937
O5 0.688 0.063 0.458
O6 0.937 0.542 0.312

[4]
Structure and simulated powder X-ray diffraction pattern of Na4Os4O11 (the PBE geometry in OQMD; copper Kα).
Neutral-atom scattering factors, no anomalous dispersion.

Most intense lines, 2θ = 10–90°, most intense first:
2θ/deg	Rel. int.
23.55	100
33.56	71
54.32	29
60.20	22
48.13	18
33.32	17
33.72	15
59.70	14
70.55	10
48.27	9

Structural model:
Lattice parameters (Å, degrees): 5.316 7.542 5.378 90.00 90.01 90.00
Element x y z (fractional)
Na1 0.000 0.000 0.000
Na2 0.003 0.500 0.062
Na3 0.505 0.500 0.569
Na4 0.530 0.000 0.499
Os1 0.017 0.252 0.533
Os2 0.017 0.748 0.533
Os3 0.513 0.257 0.033
Os4 0.513 0.743 0.033
O1 0.110 0.000 0.552
O2 0.233 0.299 0.817
O3 0.233 0.701 0.817
O4 0.304 0.299 0.318
O5 0.304 0.701 0.318
O6 0.417 0.000 0.061
O7 0.731 0.222 0.752
O8 0.731 0.778 0.752
O9 0.804 0.220 0.245
O10 0.804 0.780 0.245
O11 0.924 0.500 0.519

[5]
Structure and simulated powder X-ray diffraction pattern of Na4Os4O11 (the PBE geometry in OQMD; copper Kα).
Neutral-atom scattering factors, no anomalous dispersion.

Most intense lines, 2θ = 10–90°, most intense first:
2θ/deg	Rel. int.
23.51	100
23.64	54
33.53	52
33.41	52
48.09	29
33.65	28
54.19	27
33.78	26
59.73	16
48.37	14

Structural model:
Lattice parameters (Å, degrees): 5.307 5.370 7.564 90.21 90.04 90.35
Element x y z (fractional)
Na1 0.000 0.000 0.000
Na2 0.009 0.064 0.492
Na3 0.506 0.563 0.509
Na4 0.526 0.497 0.012
Os1 0.011 0.537 0.756
Os2 0.019 0.542 0.256
Os3 0.504 0.027 0.256
Os4 0.507 0.036 0.757
O1 0.095 0.567 0.006
O2 0.205 0.836 0.705
O3 0.291 0.314 0.289
O4 0.303 0.330 0.723
O5 0.429 0.027 0.007
O6 0.566 0.025 0.506
O7 0.708 0.737 0.793
O8 0.734 0.757 0.231
O9 0.803 0.244 0.805
O10 0.804 0.246 0.201
O11 0.947 0.530 0.505

[6]
Structure and simulated powder X-ray diffraction pattern of Na2P4PdO12 (the PBE geometry in OQMD; copper Kα).
Neutral-atom scattering factors, no anomalous dispersion.

Most intense lines, 2θ = 10–90°, most intense first:
2θ/deg	Rel. int.
19.64	100
29.94	87
12.81	85
19.44	76
25.62	64
33.89	61
14.68	53
31.46	51
25.73	48
39.42	46

Structural model:
Lattice parameters (Å, degrees): 6.913 8.047 9.121 90.00 90.98 90.00
Element x y z (fractional)
Na1 0.229 0.057 0.115
Na2 0.229 0.443 0.615
Na3 0.771 0.557 0.385
Na4 0.771 0.943 0.885
P1 0.170 0.713 0.926
P2 0.170 0.787 0.426
P3 0.329 0.106 0.790
P4 0.329 0.394 0.290
P5 0.671 0.606 0.710
P6 0.671 0.894 0.210
P7 0.830 0.213 0.574
P8 0.830 0.287 0.074
Pd1 0.500 0.000 0.500
Pd2 0.500 0.500 0.000
O1 0.079 0.622 0.419
O2 0.079 0.878 0.919
O3 0.126 0.576 0.824
O4 0.126 0.924 0.324
O5 0.210 0.218 0.877
O6 0.210 0.282 0.377
O7 0.319 0.691 0.050
O8 0.319 0.809 0.550
O9 0.340 0.149 0.628
O10 0.340 0.351 0.128
O11 0.449 0.535 0.345
O12 0.449 0.965 0.845
O13 0.551 0.035 0.155
O14 0.551 0.465 0.655
O15 0.660 0.649 0.872
O16 0.660 0.851 0.372
O17 0.681 0.191 0.450
O18 0.681 0.309 0.950
O19 0.790 0.718 0.623
O20 0.790 0.782 0.123
O21 0.874 0.076 0.676
O22 0.874 0.424 0.176
O23 0.921 0.122 0.081
O24 0.921 0.378 0.581

[7]
Structure and simulated powder X-ray diffraction pattern of NaZnPSO3 (the PBE geometry in OQMD; copper Kα).
Neutral-atom scattering factors, no anomalous dispersion.

Most intense lines, 2θ = 10–90°, most intense first:
2θ/deg	Rel. int.
21.23	100
18.89	81
25.96	48
23.55	47
36.64	47
38.29	41
40.06	37
38.11	30
33.96	26
35.50	21

Structural model:
Lattice parameters (Å, degrees): 4.928 5.086 5.346 112.16 95.52 116.13
Element x y z (fractional)
Na1 0.000 0.000 0.000
Zn1 0.651 0.263 0.486
P1 0.330 0.703 0.518
S1 0.367 0.719 0.141
O1 0.013 0.676 0.563
O2 0.321 0.388 0.497
O3 0.614 0.040 0.752

Please write out number 3 again, unchanged.
Structure and simulated powder X-ray diffraction pattern of NaOsO3 (the PBE geometry in OQMD; copper Kα).
Neutral-atom scattering factors, no anomalous dispersion.

Most intense lines, 2θ = 10–90°, most intense first:
2θ/deg	Rel. int.
17.75	100
38.12	75
33.45	70
49.92	59
20.03	54
22.54	50
30.67	41
66.06	23
59.79	22
62.90	20

Structural model:
Lattice parameters (Å, degrees): 5.876 5.876 5.876 54.24 54.24 54.24
Element x y z (fractional)
Na1 0.136 0.136 0.136
Na2 0.864 0.864 0.864
Os1 0.337 0.337 0.337
Os2 0.663 0.663 0.663
O1 0.063 0.458 0.688
O2 0.312 0.937 0.542
O3 0.458 0.688 0.063
O4 0.542 0.312 0.937
O5 0.688 0.063 0.458
O6 0.937 0.542 0.312

What is the formula in the third record? NaOsO3